For HRuN2Cl4, a crystal structure in the Materials Project, relaxed with PBE gives the calculated X-ray powder pattern in this record (CuKα).
Lines closer than 0.1° are merged.

Peak list (10 most intense, 10° ≤ 2θ ≤ 90°, in order of falling intensity)
d = 6.798 Å, I 100; d = 4.004 Å, I 70; d = 7.041 Å, I 65; d = 2.611 Å, I 44; d = 5.608 Å, I 34; d = 3.485 Å, I 30; d = 2.190 Å, I 16; d = 3.404 Å, I 15; d = 2.184 Å, I 15; d = 4.350 Å, I 15

Cell and atoms:
```
HRuN2Cl4
1.0
8.015 -3.892 0.000
8.015 3.892 0.000
-3.978 0.000 7.041
H Ru N Cl
2 2 4 8
direct
0.226 0.226 0.019 H
0.774 0.774 0.981 H
0.115 0.115 0.009 Ru
0.885 0.885 0.991 Ru
0.000 0.000 0.000 N
0.137 0.137 0.534 N
0.500 0.500 0.000 N
0.863 0.863 0.466 N
0.017 0.606 0.759 Cl
0.127 0.712 0.218 Cl
0.288 0.873 0.782 Cl
0.394 0.983 0.241 Cl
0.606 0.017 0.759 Cl
0.712 0.127 0.218 Cl
0.873 0.288 0.782 Cl
0.983 0.394 0.241 Cl
```

=====

For SbH4NCl6, a crystal structure in the Materials Project, relaxed with PBE gives the calculated X-ray powder pattern in this record (CuKα).
Lines closer than 0.1° are merged.

Peak list (10 most intense, 10° ≤ 2θ ≤ 90°, in order of falling intensity)
d = 6.036 Å, I 100; d = 5.350 Å, I 76; d = 2.776 Å, I 50; d = 4.967 Å, I 48; d = 2.832 Å, I 28; d = 3.445 Å, I 27; d = 2.178 Å, I 23; d = 1.847 Å, I 21; d = 4.783 Å, I 21; d = 2.150 Å, I 21

Cell and atoms:
```
SbH4NCl6
1.0
6.169 -3.227 0.000
6.169 3.227 0.000
-2.512 0.000 12.066
Sb H N Cl
2 8 2 12
direct
0.000 0.500 0.000 Sb
0.500 0.000 0.500 Sb
0.015 0.981 0.681 H
0.019 0.985 0.819 H
0.132 0.729 0.738 H
0.271 0.868 0.762 H
0.729 0.132 0.238 H
0.868 0.271 0.262 H
0.981 0.015 0.181 H
0.985 0.019 0.319 H
0.109 0.891 0.750 N
0.891 0.109 0.250 N
0.094 0.206 0.534 Cl
0.201 0.375 0.835 Cl
0.206 0.094 0.034 Cl
0.307 0.534 0.110 Cl
0.375 0.201 0.335 Cl
0.466 0.693 0.390 Cl
0.534 0.307 0.610 Cl
0.625 0.799 0.665 Cl
0.693 0.466 0.890 Cl
0.794 0.906 0.966 Cl
0.799 0.625 0.165 Cl
0.906 0.794 0.466 Cl
```

=====

For ScH6N2Cl3, a crystal structure in the Materials Project, relaxed with PBE gives the calculated X-ray powder pattern in this record (CuKα).
Lines closer than 0.1° are merged.

Peak list (10 most intense, 10° ≤ 2θ ≤ 90°, in order of falling intensity)
d = 2.819 Å, I 100; d = 2.744 Å, I 89; d = 5.349 Å, I 85; d = 5.890 Å, I 81; d = 5.815 Å, I 66; d = 5.401 Å, I 47; d = 2.285 Å, I 46; d = 3.013 Å, I 32; d = 3.898 Å, I 31; d = 2.945 Å, I 30

Cell and atoms:
```
ScH6N2Cl3
1.0
6.986 0.000 0.000
-3.370 9.382 0.000
-0.128 -3.245 10.802
Sc H N Cl
4 24 8 12
direct
0.162 0.303 0.197 Sc
0.317 0.723 0.304 Sc
0.683 0.277 0.696 Sc
0.838 0.697 0.803 Sc
0.020 0.276 0.426 H
0.047 0.266 0.945 H
0.217 0.435 0.001 H
0.226 0.228 0.419 H
0.249 0.140 0.663 H
0.250 0.405 0.460 H
0.295 0.293 0.955 H
0.297 0.056 0.133 H
0.338 0.034 0.559 H
0.341 0.027 0.703 H
0.464 0.186 0.246 H
0.478 0.195 0.103 H
0.522 0.805 0.897 H
0.536 0.814 0.754 H
0.659 0.973 0.297 H
0.662 0.966 0.441 H
0.703 0.944 0.867 H
0.705 0.707 0.045 H
0.750 0.595 0.540 H
0.751 0.860 0.337 H
0.774 0.772 0.581 H
0.783 0.565 0.999 H
0.953 0.734 0.055 H
0.980 0.724 0.574 H
0.166 0.303 0.401 N
0.184 0.326 0.000 N
0.365 0.099 0.650 N
0.377 0.169 0.165 N
0.623 0.831 0.835 N
0.635 0.901 0.350 N
0.816 0.674 0.000 N
0.834 0.697 0.599 N
0.010 0.509 0.756 Cl
0.138 0.915 0.863 Cl
0.141 0.900 0.343 Cl
0.337 0.722 0.522 Cl
0.344 0.725 0.086 Cl
0.494 0.527 0.259 Cl
0.506 0.473 0.741 Cl
0.656 0.275 0.914 Cl
0.663 0.278 0.478 Cl
0.859 0.100 0.657 Cl
0.862 0.085 0.137 Cl
0.990 0.491 0.244 Cl
```